Record 1
Computed powder XRD pattern
Compound: KLiH4S2N2O6
Radiation: λ = 1.5418 Å (Cu Kα)
Structure: a structure optimized by DFT (PBE)

Peak list (6 most intense, 10° ≤ 2θ ≤ 90°, by intensity)
24.60°, I 100, hkl 1 1 1
29.25°, I 92, hkl 0 2 2
25.43°, I 88, hkl 1 1 -2
20.73°, I 58, hkl 0 2 0
20.52°, I 55, hkl 1 1 -1
20.41°, I 48, hkl 0 0 2

Structure:
```
data_KLiH4S2N2O6
_cell_length_a 5.3024
_cell_length_b 8.5688
_cell_length_c 9.0031
_cell_angle_alpha 90.00
_cell_angle_beta 104.84
_cell_angle_gamma 90.00
_space_group_name_H-M_alt 'P 1 21 1'
_space_group_IT_number 4
loop_
_space_group_symop_operation_xyz
'x,y,z'
'-x,y+1/2,-z'
loop_
_atom_site_label
_atom_site_type_symbol
_atom_site_fract_x
_atom_site_fract_y
_atom_site_fract_z
K1 K 0.2024 0.0000 0.0354
Li1 Li 0.0930 0.3073 0.6566
H1 H 0.3188 0.4530 0.4210
H2 H 0.3731 0.0228 0.5477
H3 H 0.4587 0.6586 0.6415
H4 H 0.4872 0.7919 0.7850
S1 S 0.0870 0.6913 0.7059
S2 S 0.3581 0.6326 0.2466
N1 N 0.4103 0.6854 0.7428
N2 N 0.4320 0.5508 0.4208
O1 O 0.0010 0.0282 0.3228
O2 O 0.0181 0.2894 0.4314
O3 O 0.0301 0.7574 0.8434
O4 O 0.0813 0.6770 0.2193
O5 O 0.4002 0.5206 0.1317
O6 O 0.4692 0.2696 0.7369
```


Record 2
Computed powder XRD pattern
Compound: ErThRe4
Radiation: λ = 1.5418 Å (Cu Kα)
Structure: a structure optimized by DFT (PBE)

Peak list (6 most intense, 10° ≤ 2θ ≤ 90°, by intensity)
38.75°, I 100, hkl 1 1 2
39.83°, I 81, hkl 2 0 1
35.12°, I 70, hkl 1 0 3
64.67°, I 33, hkl 0 2 5
60.60°, I 31, hkl 0 0 6
33.22°, I 28, hkl 1 1 0

Structure:
```
data_ErThRe4
_cell_length_a 5.3935
_cell_length_b 5.3935
_cell_length_c 9.1581
_cell_angle_alpha 90.00
_cell_angle_beta 90.00
_cell_angle_gamma 120.00
_space_group_name_H-M_alt 'P -3 m 1'
_space_group_IT_number 164
_space_group_name_Hall '-P 3 2"'
loop_
_atom_site_label
_atom_site_type_symbol
_atom_site_fract_x
_atom_site_fract_y
_atom_site_fract_z
Er1 Er 0.3333 0.6667 0.0620
Th1 Th 0.3333 0.6667 0.4393
Re1 Re 0.0000 0.0000 0.0000
Re2 Re 0.0000 0.0000 0.5000
Re3 Re 0.1702 0.3403 0.7593
```


Record 3
Computed powder XRD pattern
Compound: Rb2Ba8LiSb6O2
Radiation: λ = 1.5418 Å (Cu Kα)
Structure: a structure optimized by DFT (PBE)

Peak list (6 most intense, 10° ≤ 2θ ≤ 90°, by intensity)
26.61°, I 100, hkl 1 3 3
27.01°, I 93, hkl 3 3 1
30.53°, I 39, hkl 2 0 4
31.05°, I 37, hkl 4 0 2
28.61°, I 36, hkl 2 4 2
55.81°, I 24, hkl 0 0 8

Structure:
```
data_Rb2Ba8LiSb6O2
_cell_length_a 12.8107
_cell_length_b 17.0136
_cell_length_c 13.1686
_cell_angle_alpha 90.00
_cell_angle_beta 90.00
_cell_angle_gamma 90.00
_space_group_name_H-M_alt 'F m m 2'
_space_group_IT_number 42
_space_group_name_Hall 'F 2 -2'
loop_
_atom_site_label
_atom_site_type_symbol
_atom_site_fract_x
_atom_site_fract_y
_atom_site_fract_z
Rb1 Rb 0.2450 0.0000 0.0000
Ba1 Ba 0.0000 0.1519 0.9071
Ba2 Ba 0.0000 0.1743 0.6019
Ba3 Ba 0.1546 0.1481 0.2595
Li1 Li 0.0000 0.0000 0.5771
Sb1 Sb 0.0000 0.0000 0.1255
Sb2 Sb 0.0000 0.0000 0.3789
Sb3 Sb 0.1141 0.0000 0.7475
Sb4 Sb 0.2500 0.2500 0.0050
O1 O 0.0000 0.2450 0.2606
```


Record 4
Computed powder XRD pattern
Compound: Li2AgBi
Radiation: λ = 1.5418 Å (Cu Kα)
Structure: a structure optimized by DFT (PBE)

Peak list (6 most intense, 10° ≤ 2θ ≤ 90°, by intensity)
22.46°, I 100, hkl 1 1 1
37.08°, I 88, hkl 2 2 0
43.78°, I 54, hkl 3 1 1
66.83°, I 31, hkl 4 2 2
58.68°, I 23, hkl 3 3 1
83.38°, I 18, hkl 5 3 1

Structure:
```
data_Li2AgBi
_cell_length_a 6.8577
_cell_length_b 6.8577
_cell_length_c 6.8577
_cell_angle_alpha 90.00
_cell_angle_beta 90.00
_cell_angle_gamma 90.00
_space_group_name_H-M_alt 'F -4 3 m'
_space_group_IT_number 216
_space_group_name_Hall 'F -4 2 3'
loop_
_atom_site_label
_atom_site_type_symbol
_atom_site_fract_x
_atom_site_fract_y
_atom_site_fract_z
Li1 Li 0.0000 0.0000 0.0000
Li2 Li 0.2500 0.2500 0.2500
Ag1 Ag 0.2500 0.2500 0.7500
Bi1 Bi 0.0000 0.0000 0.5000
```


Record 5
Computed powder XRD pattern
Compound: RbMo9S9
Radiation: λ = 1.5418 Å (Cu Kα)
Structure: a structure optimized by DFT (PBE)

Peak list (6 most intense, 10° ≤ 2θ ≤ 90°, by intensity)
11.28°, I 100, hkl 1 0 0
36.60°, I 21, hkl 2 1 3
45.07°, I 17, hkl 2 2 3
46.62°, I 13, hkl 3 1 3
30.14°, I 10, hkl 2 1 0
41.23°, I 8, hkl 0 0 6

Structure:
```
data_RbMo9S9
_cell_length_a 9.0575
_cell_length_b 9.0575
_cell_length_c 13.1386
_cell_angle_alpha 90.00
_cell_angle_beta 90.00
_cell_angle_gamma 120.00
_space_group_name_H-M_alt 'P 63/m'
_space_group_IT_number 176
_space_group_name_Hall '-P 6c'
loop_
_atom_site_label
_atom_site_type_symbol
_atom_site_fract_x
_atom_site_fract_y
_atom_site_fract_z
Rb1 Rb 0.3333 0.6667 0.2500
Mo1 Mo 0.0268 0.1861 0.2500
Mo2 Mo 0.0276 0.1879 0.5832
S1 S 0.0505 0.3409 0.0835
S2 S 0.0508 0.3411 0.7500
```


Record 6
Computed powder XRD pattern
Compound: ZrCrAgS4
Radiation: λ = 1.5418 Å (Cu Kα)
Structure: a structure optimized by DFT (PBE)

Peak list (6 most intense, 10° ≤ 2θ ≤ 90°, by intensity)
39.74°, I 100, hkl 2 4 1
20.13°, I 82, hkl 1 1 1
51.35°, I 61, hkl 2 0 3
28.12°, I 57, hkl 2 2 0
35.27°, I 55, hkl 2 3 1
40.09°, I 50, hkl 0 4 2

Structure:
```
data_ZrCrAgS4
_cell_length_a 7.2322
_cell_length_b 13.2405
_cell_length_c 6.1323
_cell_angle_alpha 90.00
_cell_angle_beta 90.00
_cell_angle_gamma 90.00
_space_group_name_H-M_alt 'P m m n'
_space_group_IT_number 59
loop_
_space_group_symop_operation_xyz
'x,y,z'
'-x,-y,-z'
'-x+1/2,-y+1/2,z'
'x+1/2,y+1/2,-z'
'x+1/2,-y,-z'
'-x+1/2,y,z'
'-x,y+1/2,-z'
'x,-y+1/2,z'
loop_
_atom_site_label
_atom_site_type_symbol
_atom_site_fract_x
_atom_site_fract_y
_atom_site_fract_z
Zr1 Zr 0.0000 0.0000 0.0000
Cr1 Cr 0.2500 0.0030 0.4987
Ag1 Ag 0.2500 0.2500 0.8421
Ag2 Ag 0.2500 0.7500 0.5117
S1 S 0.0016 0.1059 0.6498
S2 S 0.2500 0.1103 0.1770
S3 S 0.2500 0.6074 0.8174
```